(1)
# K4U3NbO12
Calculated XRD peak list, Cu Ka. Input: a structure optimized by DFT (PBE).
Kinematic intensities with the Lorentz-polarization factor, no thermal factor.

Principal peaks in the range 15° ≤ 2θ ≤ 90°, by angle:
h k l	d/Å	2theta	I/Imax
2 0 0	4.264	20.8	70.7
2 2 0	3.015	29.6	100.0
4 0 0	2.132	42.4	31.6
4 2 0	1.907	47.7	33.8
4 2 2	1.741	52.6	41.2
6 4 2	1.140	85.1	22.5

Structural model:
```
data_K4U3NbO12
_symmetry_space_group_name_H-M 'I m -3 m'
_symmetry_Int_Tables_number 229
_symmetry_space_group_name_Hall '-I 4 2 3'
_cell_length_a 8.529
_cell_length_b 8.529
_cell_length_c 8.529
_cell_angle_alpha 90.00
_cell_angle_beta 90.00
_cell_angle_gamma 90.00
loop_
_atom_site_label
_atom_site_type_symbol
_atom_site_fract_x
_atom_site_fract_y
_atom_site_fract_z
_atom_site_occupancy
K1 K 0.250 0.250 0.250 1
U1 U 0.000 0.000 0.500 1
Nb1 Nb 0.000 0.000 0.000 1
O1 O 0.000 0.000 0.241 1
O2 O 0.000 0.250 0.500 1
```


(2)
# Pu2Hg7
Calculated XRD peak list, Cu Ka. Input: a structure optimized by DFT (PBE).
Kinematic intensities with the Lorentz-polarization factor, no thermal factor.

Principal peaks in the range 15° ≤ 2θ ≤ 90°, by angle:
h k l	d/Å	2theta	I/Imax
1 1 1	2.732	32.8	100.0
0 0 3	2.611	34.4	29.4
2 -1 2	2.338	38.5	65.1
3 0 0	1.683	54.5	24.2
1 1 4	1.625	56.6	21.7
3 0 3	1.414	66.1	27.4

Structural model:
```
data_Pu2Hg7
_symmetry_space_group_name_H-M 'P -3 1 m'
_symmetry_Int_Tables_number 162
_symmetry_space_group_name_Hall '-P 3 2'
_cell_length_a 5.8291
_cell_length_b 5.8291
_cell_length_c 7.8317
_cell_angle_alpha 90.00
_cell_angle_beta 90.00
_cell_angle_gamma 120.00
loop_
_atom_site_label
_atom_site_type_symbol
_atom_site_fract_x
_atom_site_fract_y
_atom_site_fract_z
_atom_site_occupancy
Pu1 Pu 0.3333 0.6667 0.0000 1
Hg1 Hg 0.0000 0.0000 0.0000 1
Hg2 Hg 0.0000 0.3290 0.6633 1
```


- What is the formula in the second record?
  Pu2Hg7